For Fe8O9, a DFT-relaxed cell (GGA+U, Alexandria) gives the computed X-ray powder pattern in this record (Cu Kα (λ = 1.5418 Å)).

Structural model:
```
Fe8O9
1.0
5.309 0.000 0.000
0.777 5.294 0.000
1.728 0.663 6.541
Fe O
8 9
Cartesian
0.849 0.758 1.873
2.609 2.245 5.440
2.631 3.198 2.499
4.298 4.794 6.029
3.516 1.163 0.512
5.183 2.759 4.042
5.206 3.712 1.101
6.965 5.199 4.668
0.000 0.000 0.000
1.586 1.715 3.627
1.749 2.466 0.745
3.432 3.824 4.291
3.317 4.796 1.404
4.498 1.161 5.137
4.382 2.133 2.250
6.066 3.491 5.796
6.228 4.242 2.914
```

Peak list (10 most intense, 2θ = 5–70°, in order of rising 2θ)
2θ (°)  intensity  h k l
35.44  44  0 2 1
35.88  41  1 -1 2
36.04  81  2 1 1
41.08  100  2 -1 0
41.86  93  1 2 -1
41.95  92  1 1 3
59.59  27  1 -3 1
59.81  27  -1 2 3
60.51  54  2 3 2
60.61  26  3 1 -1